(1)
Diffraction record for La5SmGa2. The powder XRD pattern is theoretical, not measured: it uses the PBE geometry in Alexandria and CuKα.
Peak positions follow from Bragg's law for the DFT cell and can differ from measured ones.

Crystal structure
abc: 5.4851 5.4851 20.0774
angles: 90.00 90.00 120.00
Space group P6_3/mmc (No. 194)
One atom of each set of equivalent atoms:
La: 0.0000 0.0000 0.1526 x4
La: 0.3333 0.6667 0.0566 x4
La: 0.3333 0.6667 0.2500 x2
Sm: 0.3333 0.6667 0.7500 x2
Ga: 0.3333 0.6667 0.5988 x4

Peak list (8 most intense, 10 to 90 degrees two-theta, most intense first)
2θ 32.68, intensity 100, hkl 1 1 0; 2θ 58.30, intensity 26, hkl 3 0 0; 2θ 25.82, intensity 25, hkl 1 0 4; 2θ 46.91, intensity 13, hkl 2 0 6; 2θ 56.83, intensity 12, hkl 1 1 10; 2θ 68.40, intensity 9, hkl 2 2 0; 2θ 29.12, intensity 8, hkl 1 0 5; 2θ 36.60, intensity 7, hkl 1 0 7



(2)
Diffraction record for HfMn2Tl2Se4. The powder XRD pattern is theoretical, not measured: it uses the PBE geometry in Alexandria and CuKα.
Peak positions follow from Bragg's law for the DFT cell and can differ from measured ones.

Crystal structure
abc: 14.7820 3.9090 7.9973
angles: 90.00 107.60 90.00
Space group C2/m (No. 12)
One atom of each set of equivalent atoms:
Hf: 0.0000 0.0000 0.0000 x2
Mn: 0.1725 0.5000 0.9630 x4
Tl: 0.1428 0.0000 0.5813 x4
Se: 0.0082 0.5000 0.7661 x4
Se: 0.1898 0.0000 0.1729 x4

Peak list (8 most intense, 10 to 90 degrees two-theta, most intense first)
2θ 32.03, intensity 100, hkl 1 1 -2; 2θ 29.77, intensity 67, hkl 2 0 2; 2θ 34.13, intensity 52, hkl 3 1 1; 2θ 38.29, intensity 44, hkl 6 0 0; 2θ 46.46, intensity 33, hkl 0 2 0; 2θ 51.40, intensity 29, hkl 3 1 3; 2θ 24.42, intensity 24, hkl 4 0 -1; 2θ 31.02, intensity 23, hkl 4 0 1



(3)
Diffraction record for Ba6Tm2Al4O15. The powder XRD pattern is theoretical, not measured: it uses the PBE geometry in Alexandria and CuKα.
Peak positions follow from Bragg's law for the DFT cell and can differ from measured ones.

Crystal structure
abc: 7.8939 5.9332 18.4750
angles: 90.00 91.69 90.00
Space group P2/c (No. 13)
One atom of each set of equivalent atoms:
Ba: 0.0000 0.1801 0.2500 x2
Ba: 0.0011 0.2547 0.9179 x4
Ba: 0.4709 0.2473 0.9104 x4
Ba: 0.5000 0.2313 0.2500 x2
Tm: 0.2519 0.2493 0.0892 x4
Al: 0.2520 0.2475 0.4450 x4
Al: 0.2786 0.2644 0.7308 x4
O: 0.0374 0.2534 0.4092 x4
O: 0.1889 0.1799 0.8115 x4
O: 0.2306 0.4781 0.1854 x4
O: 0.2559 0.0398 0.6660 x4
O: 0.2633 0.4854 0.5060 x4
O: 0.2639 0.0027 0.9997 x4
O: 0.4447 0.2612 0.3951 x4
O: 0.5000 0.2879 0.7500 x2

Peak list (8 most intense, 10 to 90 degrees two-theta, most intense first)
2θ 31.17, intensity 100, hkl 2 1 3; 2θ 30.53, intensity 99, hkl 2 1 -3; 2θ 29.01, intensity 56, hkl 0 0 6; 2θ 30.12, intensity 56, hkl 0 2 0; 2θ 42.31, intensity 55, hkl 0 2 6; 2θ 46.01, intensity 23, hkl 4 0 0; 2θ 51.97, intensity 21, hkl 2 1 -9; 2θ 14.55, intensity 20, hkl 1 0 -2



(4)
Diffraction record for MnHg2Br6. The powder XRD pattern is theoretical, not measured: it uses the PBE geometry in Alexandria and CuKα.
Peak positions follow from Bragg's law for the DFT cell and can differ from measured ones.

Crystal structure
abc: 13.4467 12.2692 7.2443
angles: 90.00 100.17 90.00
Space group C2/c (No. 15)
One atom of each set of equivalent atoms:
Mn: 0.0000 0.0939 0.2500 x4
Hg: 0.1821 0.4075 0.3247 x8
Br: 0.1074 0.0741 0.6038 x8
Br: 0.1214 0.2321 0.1260 x8
Br: 0.1212 0.4042 0.6553 x8

Peak list (8 most intense, 10 to 90 degrees two-theta, most intense first)
2θ 21.40, intensity 100, hkl 3 1 0; 2θ 26.58, intensity 86, hkl 1 3 1; 2θ 43.53, intensity 86, hkl 1 3 -3; 2θ 44.47, intensity 81, hkl 5 3 1; 2θ 44.30, intensity 79, hkl 6 0 -2; 2θ 24.63, intensity 76, hkl 2 2 1; 2θ 25.75, intensity 58, hkl 1 1 -2; 2θ 14.90, intensity 56, hkl 1 1 -1



(5)
Diffraction record for AcLa5Co3. The powder XRD pattern is theoretical, not measured: it uses the PBE geometry in Alexandria and CuKα.
Peak positions follow from Bragg's law for the DFT cell and can differ from measured ones.

Crystal structure
abc: 12.6981 9.2996 10.4224
angles: 90.00 115.45 90.00
Space group C2/m (No. 12)
One atom of each set of equivalent atoms:
Ac: 0.2349 0.0000 0.0355 x4
La: 0.0000 0.3054 0.0000 x4
La: 0.0602 0.5000 0.3701 x4
La: 0.0996 0.0000 0.2937 x4
La: 0.1689 0.1928 0.6612 x8
Co: 0.0000 0.0000 0.0000 x2
Co: 0.0000 0.0000 0.5000 x2
Co: 0.1620 0.5000 0.1740 x4
Co: 0.1675 0.5000 0.6555 x4

Peak list (8 most intense, 10 to 90 degrees two-theta, most intense first)
2θ 28.78, intensity 100, hkl 2 2 1; 2θ 28.42, intensity 100, hkl 4 0 -1; 2θ 46.30, intensity 77, hkl 1 3 -4; 2θ 26.74, intensity 47, hkl 2 2 -2; 2θ 29.62, intensity 46, hkl 3 1 -3; 2θ 30.31, intensity 37, hkl 1 3 -1; 2θ 36.80, intensity 35, hkl 1 1 -4; 2θ 43.45, intensity 30, hkl 4 0 2



Q: Which formula does entry 5 have?
A: AcLa5Co3